The following is a calculated powder XRD pattern of NpPa2F11. It was derived from a cell relaxed with GGA-PBE, using Cu Kα.
Peak positions follow from Bragg's law for the DFT cell and can differ from measured ones.

Main lines, sorted by position (2θ = 5–70°):
4.338 Å, 20.5°, I = 100
4.207 Å, 21.1°, I = 51
3.892 Å, 22.9°, I = 79
3.761 Å, 23.7°, I = 75
3.431 Å, 26.0°, I = 23
3.281 Å, 27.2°, I = 31
2.851 Å, 31.4°, I = 22
2.152 Å, 42.0°, I = 34
2.076 Å, 43.6°, I = 47
1.944 Å, 46.7°, I = 24

Atomic structure:
Lattice parameters (Å, degrees): 8.906 8.906 8.906 122.33 106.55 100.39
Fractional coordinates of all 28 atoms:
Np  0.250  0.250  0.000
Np  0.750  0.750  0.000
Pa  0.182  0.648  0.830
Pa  0.318  0.148  0.466
Pa  0.682  0.852  0.534
Pa  0.818  0.352  0.170
F  0.000  0.500  0.500
F  0.037  0.955  0.273
F  0.062  0.356  0.146
F  0.182  0.455  0.917
F  0.210  0.916  0.854
F  0.215  0.372  0.587
F  0.285  0.872  0.157
F  0.290  0.144  0.706
F  0.318  0.235  0.273
F  0.438  0.584  0.294
F  0.463  0.735  0.917
F  0.500  0.000  0.500
F  0.537  0.265  0.083
F  0.562  0.416  0.706
F  0.682  0.765  0.727
F  0.710  0.856  0.294
F  0.715  0.128  0.843
F  0.785  0.628  0.413
F  0.790  0.084  0.146
F  0.818  0.545  0.083
F  0.938  0.644  0.854
F  0.963  0.045  0.727

---

The following is a calculated powder XRD pattern of Li2Cd2F7. It was derived from a cell relaxed with GGA-PBE, using Cu Kα.
Peak positions follow from Bragg's law for the DFT cell and can differ from measured ones.

Main lines, sorted by position (2θ = 5–70°):
5.247 Å, 16.9°, I = 100
3.777 Å, 23.6°, I = 48
3.661 Å, 24.3°, I = 45
3.639 Å, 24.5°, I = 33
2.990 Å, 29.9°, I = 63
2.163 Å, 41.8°, I = 35
2.128 Å, 42.5°, I = 25
2.098 Å, 43.1°, I = 33
1.820 Å, 50.1°, I = 20
1.629 Å, 56.5°, I = 21

Atomic structure:
Lattice parameters (Å, degrees): 5.393 5.393 5.704 106.82 106.82 84.86
Fractional coordinates of all 11 atoms:
Li  0.241  0.759  0.000
Li  0.759  0.241  0.000
Cd  0.163  0.163  0.629
Cd  0.622  0.622  0.611
F  0.318  0.318  0.362
F  0.321  0.829  0.362
F  0.469  0.469  0.888
F  0.470  0.963  0.888
F  0.829  0.321  0.362
F  0.935  0.935  0.775
F  0.963  0.470  0.888